For Li3MnP2O8, a structure optimized by DFT (GGA+U) gives the theoretical XRD peak list in this record (Cu Kα (weighted mean of Kα1 and Kα2)).
Kinematic intensities with the Lorentz-polarization factor, no thermal factor.

Cell: 8.0499 8.4409 10.4723 Å, 90.46 90.08 105.29°
Space group P1 (No. 1)
One atom of each set of equivalent atoms:
1 Li 0.0000 0.0000 0.0000 (multiplicity 1)
2 Li 0.0008 0.4831 0.8039 (multiplicity 1)
3 Li 0.0474 0.4939 0.3317 (multiplicity 1)
4 Li 0.1724 0.1826 0.2965 (multiplicity 1)
5 Li 0.5365 0.9618 0.8142 (multiplicity 1)
6 Li 0.5382 0.4593 0.9782 (multiplicity 1)
7 Li 0.6958 0.1561 0.4961 (multiplicity 1)
8 Li 0.6977 0.6584 0.2927 (multiplicity 1)
9 Li 0.8377 0.0399 0.7182 (multiplicity 1)
10 Li 0.8385 0.5421 0.0835 (multiplicity 1)
11 Li 0.8667 0.5968 0.5886 (multiplicity 1)
12 Li 0.9878 0.9474 0.4767 (multiplicity 1)
13 Mn 0.2407 0.6944 0.9933 (multiplicity 1)
14 Mn 0.2436 0.1872 0.8040 (multiplicity 1)
15 Mn 0.4581 0.4626 0.4896 (multiplicity 1)
16 Mn 0.4723 0.9573 0.2922 (multiplicity 1)
17 P 0.0651 0.3096 0.5595 (multiplicity 1)
18 P 0.0835 0.8135 0.2320 (multiplicity 1)
19 P 0.1332 0.8707 0.7342 (multiplicity 1)
20 P 0.1500 0.3821 0.0624 (multiplicity 1)
21 P 0.5608 0.7748 0.5619 (multiplicity 1)
22 P 0.5636 0.2746 0.2324 (multiplicity 1)
23 P 0.6329 0.3235 0.7289 (multiplicity 1)
24 P 0.6396 0.8263 0.0510 (multiplicity 1)
25 O 0.0380 0.4900 0.9978 (multiplicity 1)
26 O 0.0385 0.9572 0.3005 (multiplicity 1)
27 O 0.0400 0.9917 0.8063 (multiplicity 1)
28 O 0.0449 0.8153 0.6077 (multiplicity 1)
29 O 0.0973 0.3429 0.1995 (multiplicity 1)
30 O 0.1098 0.8433 0.0848 (multiplicity 1)
31 O 0.1209 0.3367 0.7030 (multiplicity 1)
32 O 0.1420 0.7239 0.8170 (multiplicity 1)
33 O 0.1505 0.2299 0.9806 (multiplicity 1)
34 O 0.2290 0.3064 0.4747 (multiplicity 1)
35 O 0.2571 0.7849 0.2855 (multiplicity 1)
36 O 0.3170 0.9981 0.7275 (multiplicity 1)
37 O 0.3312 0.5107 0.0501 (multiplicity 1)
38 O 0.3835 0.1421 0.2215 (multiplicity 1)
39 O 0.3850 0.6397 0.5741 (multiplicity 1)
40 O 0.4642 0.8368 0.9790 (multiplicity 1)
41 O 0.4698 0.3356 0.8137 (multiplicity 1)
42 O 0.5465 0.4206 0.3182 (multiplicity 1)
43 O 0.5494 0.9163 0.4725 (multiplicity 1)
44 O 0.5738 0.3081 0.5856 (multiplicity 1)
45 O 0.6008 0.8184 0.1987 (multiplicity 1)
46 O 0.6430 0.3413 0.1071 (multiplicity 1)
47 O 0.6440 0.8418 0.6873 (multiplicity 1)
48 O 0.6624 0.1630 0.3054 (multiplicity 1)
49 O 0.6658 0.6614 0.4904 (multiplicity 1)
50 O 0.6884 0.1715 0.7669 (multiplicity 1)
51 O 0.6901 0.6692 0.0163 (multiplicity 1)
52 O 0.7666 0.9832 0.0101 (multiplicity 1)
53 O 0.7736 0.4834 0.7503 (multiplicity 1)
54 O 0.9353 0.1380 0.5448 (multiplicity 1)
55 O 0.9409 0.6510 0.2526 (multiplicity 1)
56 O 0.9874 0.4441 0.5094 (multiplicity 1)

The 12 most intense peaks (2θ = 10–80°), most intense first:
2θ (°), d/Å, intensity
21.73, 4.090, 100
35.93, 2.500, 43
11.40, 7.765, 40
22.91, 3.882, 39
24.46, 3.640, 38
14.19, 6.241, 34
34.25, 2.618, 33
21.83, 4.071, 30
20.08, 4.421, 27
20.24, 4.387, 24
32.19, 2.781, 23
32.31, 2.771, 19